Starting from a structure optimized by DFT (PBE), the XRD peak list of CaMgAsO4F was simulated for copper Kα.

The 8 most intense peaks (10° ≤ 2θ ≤ 80°), by angle:
| Position (°2θ) | I (rel.) |
| --- | --- |
| 26.86 | 67 |
| 26.98 | 40 |
| 28.63 | 89 |
| 30.58 | 44 |
| 32.98 | 100 |
| 33.58 | 49 |
| 39.09 | 33 |
| 53.53 | 35 |

Structural model:
```
CaMgAsO4F
1.0
3.400 -4.527 0.000
3.400 4.527 0.000
-2.875 0.000 6.608
Ca Mg As O F
2 2 2 8 2
Cartesian
1.962 3.011 3.304
3.400 -3.011 0.000
1.213 0.008 5.009
2.651 -0.008 1.705
3.379 2.906 0.046
1.942 -2.906 3.350
-0.749 0.549 4.496
2.231 1.938 0.904
0.689 -0.549 1.192
1.652 1.939 5.801
0.794 -1.938 4.208
4.610 0.551 2.218
3.089 -1.939 2.497
3.172 -0.551 5.523
1.925 0.745 3.351
3.363 -0.745 0.047
```